# 1
Theoretical powder XRD pattern
Compound: Pm2TeS2
Radiation: Cu Kα (λ = 1.5418 Å)
Structure: the GGA-PBE geometry in Alexandria
Intensities are scaled so that the largest is 100.

Structural model:
Lattice parameters (Å, degrees): 4.3431 5.4727 14.0142 90.00 90.00 90.00
Space group Immm (No. 71)
Inequivalent atoms, fractional coordinates:
Pm 0.0000 0.0000 0.1647 [4 per cell]
Te 0.0000 0.5000 0.5000 [2 per cell]
S 0.0000 0.5000 0.2085 [4 per cell]

The 12 most intense peaks (10 to 80 degrees two-theta), in order of rising 2θ:
(hkl), Position (°2θ), Rel. int.
0 1 1, 17.40, 95.5
1 0 3, 28.05, 100.0
1 1 2, 29.18, 35.1
0 2 0, 32.73, 36.1
1 1 4, 36.83, 44.7
0 0 6, 38.54, 17.1
2 0 0, 41.59, 18.5
1 2 3, 43.63, 60.0
2 1 1, 45.40, 16.4
0 2 6, 51.44, 14.9
2 2 0, 53.90, 18.3
3 2 3, 77.33, 13.2

---

# 2
Theoretical powder XRD pattern
Compound: TbNdGe2
Radiation: Cu Kα (λ = 1.5418 Å)
Structure: the GGA-PBE geometry in Alexandria
Intensities are scaled so that the largest is 100.

Structural model:
Lattice parameters (Å, degrees): 4.0325 5.9062 8.1479 90.00 90.00 90.00
Space group Pmc2_1 (No. 26)
Inequivalent atoms, fractional coordinates:
Tb 0.0000 0.1315 0.0000 [2 per cell]
Nd 0.5000 0.3677 0.3627 [2 per cell]
Ge 0.0000 0.3883 0.6429 [2 per cell]
Ge 0.5000 0.1076 0.7212 [2 per cell]

The 12 most intense peaks (10 to 80 degrees two-theta), in order of rising 2θ:
(hkl), Position (°2θ), Rel. int.
1 1 1, 28.96, 85.6
1 0 2, 31.21, 100.0
0 2 1, 32.24, 97.0
1 1 2, 34.79, 91.9
0 1 3, 36.41, 59.4
1 2 1, 39.40, 85.4
2 0 0, 44.96, 41.4
0 1 4, 47.20, 31.2
2 2 1, 56.40, 39.5
2 1 3, 59.18, 28.9
2 1 4, 67.23, 21.5
1 2 5, 69.94, 19.4